No. 1
Diffraction record for MgSi2Sn2. The XRD peak list is calculated, not measured: it uses a crystal structure in Alexandria, relaxed with PBE and Cu Kα, 1.54184 Å.
Neutral-atom scattering factors, no anomalous dispersion.

Principal peaks in the range 10 to 80 degrees two-theta, by angle:
2θ (°)	d [Å]	Rel. int.	index
15.58	5.689	51	0 0 1
29.48	3.030	66	0 1 1
29.70	3.008	100	1 1 0
32.27	2.774	56	2 0 0
33.34	2.688	40	1 1 -1
34.07	2.632	76	1 1 1
34.76	2.581	70	1 0 -2
36.16	2.484	45	1 0 2
40.51	2.227	49	0 1 2
43.69	2.072	46	2 1 -1

Cell and atoms:
```
MgSi2Sn2
1.0
5.554 0.000 0.000
0.000 3.580 0.000
-0.268 0.000 5.689
Mg Si Sn
1 2 2
direct
0.000 0.000 0.000 Mg
0.380 0.000 0.708 Si
0.646 0.500 0.812 Si
0.003 0.500 0.481 Sn
0.514 0.000 0.229 Sn
```

---

No. 2
Diffraction record for MgSi2Sn2. The XRD peak list is calculated, not measured: it uses a crystal structure in Alexandria, relaxed with PBE and Cu Kα, 1.54184 Å.
Neutral-atom scattering factors, no anomalous dispersion.

Principal peaks in the range 10 to 80 degrees two-theta, by angle:
2θ (°)	d [Å]	Rel. int.	index
15.75	5.625	100	0 1 0
30.60	2.921	43	1 1 0
30.76	2.907	54	1 1 -1
31.01	2.884	40	0 0 2
31.81	2.813	87	0 2 0
34.09	2.630	55	1 0 1
34.51	2.599	48	1 0 -2
34.97	2.566	85	0 1 2
47.31	1.921	50	1 2 1
47.64	1.909	38	1 2 -2

Cell and atoms:
```
MgSi2Sn2
1.0
3.566 0.000 0.000
0.000 5.625 0.000
-1.713 0.000 5.767
Mg Si Sn
1 2 2
direct
0.000 0.000 0.000 Mg
0.313 0.000 0.631 Si
0.687 0.000 0.369 Si
0.357 0.500 0.732 Sn
0.643 0.500 0.268 Sn
```